Record 1
Structure and theoretical PXRD pattern of Tm2SiPd8 (a crystal structure in Alexandria, relaxed with GGA-PBE; copper Kα).
No peak broadening, texture or thermal motion is included.

Top 10 peaks for 2θ = 15–90°, low angle first:
2θ/deg  Rel. int.
33.3  23
37.8  50
38.9  13
39.1  38
41.5  100
52.2  13
62.1  17
72.4  19
75.9  19
76.5  12

Structural model:
Unit cell a=7.886 b=7.886 c=7.886 alpha=146.03 beta=136.51 gamma=56.30
Fractional coordinates of all 11 atoms:
1 Tm 0.188 0.188 0.000
2 Tm 0.812 0.812 0.000
3 Si 0.500 0.500 0.000
4 Pd 0.115 0.370 0.745
5 Pd 0.258 0.000 0.258
6 Pd 0.315 0.815 0.500
7 Pd 0.375 0.630 0.745
8 Pd 0.625 0.370 0.255
9 Pd 0.685 0.185 0.500
10 Pd 0.742 0.000 0.742
11 Pd 0.885 0.630 0.255

Record 2
Structure and theoretical PXRD pattern of TmSi3Pd10 (a crystal structure in Alexandria, relaxed with GGA-PBE; copper Kα).
No peak broadening, texture or thermal motion is included.

Top 10 peaks for 2θ = 15–90°, low angle first:
2θ/deg  Rel. int.
32.8  55
36.0  31
38.3  100
41.8  34
43.8  50
49.5  26
62.7  17
64.7  31
70.2  14
76.3  24

Structural model:
Unit cell a=8.642 b=8.642 c=8.642 alpha=60.00 beta=60.00 gamma=60.00
Fractional coordinates of all 28 atoms:
1 Tm 0.250 0.250 0.250
2 Tm 0.750 0.750 0.750
3 Si 0.234 0.234 0.766
4 Si 0.234 0.766 0.234
5 Si 0.234 0.766 0.766
6 Si 0.766 0.234 0.234
7 Si 0.766 0.234 0.766
8 Si 0.766 0.766 0.234
9 Pd 0.117 0.117 0.117
10 Pd 0.117 0.117 0.649
11 Pd 0.117 0.649 0.117
12 Pd 0.156 0.500 0.500
13 Pd 0.156 0.500 0.844
14 Pd 0.156 0.844 0.500
15 Pd 0.351 0.883 0.883
16 Pd 0.500 0.156 0.500
17 Pd 0.500 0.156 0.844
18 Pd 0.500 0.500 0.156
19 Pd 0.500 0.500 0.844
20 Pd 0.500 0.844 0.156
21 Pd 0.500 0.844 0.500
22 Pd 0.649 0.117 0.117
23 Pd 0.844 0.156 0.500
24 Pd 0.844 0.500 0.156
25 Pd 0.844 0.500 0.500
26 Pd 0.883 0.351 0.883
27 Pd 0.883 0.883 0.351
28 Pd 0.883 0.883 0.883

Record 3
Structure and theoretical PXRD pattern of Tm3Si6Pd20 (a crystal structure in Alexandria, relaxed with GGA-PBE; copper Kα).
No peak broadening, texture or thermal motion is included.

Top 10 peaks for 2θ = 15–90°, low angle first:
2θ/deg  Rel. int.
32.6  23
35.8  38
38.1  100
41.6  34
43.6  21
44.2  9
49.2  12
64.4  30
65.9  15
75.9  22

Structural model:
Unit cell a=8.685 b=8.685 c=8.685 alpha=60.00 beta=60.00 gamma=60.00
Fractional coordinates of all 29 atoms:
1 Tm 0.000 0.000 0.000
2 Tm 0.250 0.250 0.250
3 Tm 0.750 0.750 0.750
4 Si 0.268 0.268 0.732
5 Si 0.268 0.732 0.268
6 Si 0.268 0.732 0.732
7 Si 0.732 0.268 0.268
8 Si 0.732 0.268 0.732
9 Si 0.732 0.732 0.268
10 Pd 0.000 0.000 0.345
11 Pd 0.000 0.000 0.655
12 Pd 0.000 0.345 0.000
13 Pd 0.000 0.345 0.655
14 Pd 0.000 0.655 0.000
15 Pd 0.000 0.655 0.345
16 Pd 0.148 0.617 0.617
17 Pd 0.345 0.000 0.000
18 Pd 0.345 0.000 0.655
19 Pd 0.345 0.655 0.000
20 Pd 0.383 0.383 0.383
21 Pd 0.383 0.383 0.852
22 Pd 0.383 0.852 0.383
23 Pd 0.617 0.148 0.617
24 Pd 0.617 0.617 0.148
25 Pd 0.617 0.617 0.617
26 Pd 0.655 0.000 0.000
27 Pd 0.655 0.000 0.345
28 Pd 0.655 0.345 0.000
29 Pd 0.852 0.383 0.383

Record 4
Structure and theoretical PXRD pattern of TmSi3Pd2 (a crystal structure in Alexandria, relaxed with GGA-PBE; copper Kα).
No peak broadening, texture or thermal motion is included.

Top 10 peaks for 2θ = 15–90°, low angle first:
2θ/deg  Rel. int.
21.8  49
30.5  73
34.4  41
34.8  49
37.0  100
37.2  45
38.3  26
39.8  53
48.4  27
57.2  26

Structural model:
Unit cell a=6.018 b=6.018 c=5.670 alpha=90.00 beta=90.00 gamma=77.22
Fractional coordinates of all 12 atoms:
1 Tm 0.167 0.833 0.750
2 Tm 0.833 0.167 0.250
3 Si 0.058 0.681 0.250
4 Si 0.319 0.942 0.250
5 Si 0.460 0.540 0.250
6 Si 0.540 0.460 0.750
7 Si 0.681 0.058 0.750
8 Si 0.942 0.319 0.750
9 Pd 0.280 0.280 0.000
10 Pd 0.280 0.280 0.500
11 Pd 0.720 0.720 0.000
12 Pd 0.720 0.720 0.500

Record 5
Structure and theoretical PXRD pattern of USi4Pd6 (a crystal structure in Alexandria, relaxed with GGA-PBE; copper Kα).
No peak broadening, texture or thermal motion is included.

Top 10 peaks for 2θ = 15–90°, low angle first:
2θ/deg  Rel. int.
27.1  21
28.7  23
34.0  21
37.1  100
38.3  29
46.9  18
50.8  19
62.1  14
70.3  14
71.7  14

Structural model:
Unit cell a=7.183 b=7.183 c=3.874 alpha=90.00 beta=90.00 gamma=120.00
Fractional coordinates of all 11 atoms:
1 U 0.000 0.000 0.000
2 Si 0.333 0.667 0.000
3 Si 0.384 0.192 0.500
4 Si 0.808 0.192 0.500
5 Si 0.808 0.616 0.500
6 Pd 0.199 0.397 0.500
7 Pd 0.199 0.801 0.500
8 Pd 0.534 0.069 0.000
9 Pd 0.534 0.466 0.000
10 Pd 0.603 0.801 0.500
11 Pd 0.931 0.466 0.000

Record 6
Structure and theoretical PXRD pattern of U3Si6Pd20 (a crystal structure in Alexandria, relaxed with GGA-PBE; copper Kα).
No peak broadening, texture or thermal motion is included.

Top 10 peaks for 2θ = 15–90°, low angle first:
2θ/deg  Rel. int.
32.4  26
35.6  53
37.9  100
41.4  41
43.4  15
49.0  13
64.0  36
65.5  16
75.5  24
76.9  10

Structural model:
Unit cell a=8.726 b=8.726 c=8.726 alpha=60.00 beta=60.00 gamma=60.00
Fractional coordinates of all 29 atoms:
1 U 0.000 0.000 0.000
2 U 0.250 0.250 0.250
3 U 0.750 0.750 0.750
4 Si 0.268 0.268 0.732
5 Si 0.268 0.732 0.268
6 Si 0.268 0.732 0.732
7 Si 0.732 0.268 0.268
8 Si 0.732 0.268 0.732
9 Si 0.732 0.732 0.268
10 Pd 0.000 0.000 0.345
11 Pd 0.000 0.000 0.655
12 Pd 0.000 0.345 0.000
13 Pd 0.000 0.345 0.655
14 Pd 0.000 0.655 0.000
15 Pd 0.000 0.655 0.345
16 Pd 0.149 0.617 0.617
17 Pd 0.345 0.000 0.000
18 Pd 0.345 0.000 0.655
19 Pd 0.345 0.655 0.000
20 Pd 0.383 0.383 0.383
21 Pd 0.383 0.383 0.851
22 Pd 0.383 0.851 0.383
23 Pd 0.617 0.149 0.617
24 Pd 0.617 0.617 0.149
25 Pd 0.617 0.617 0.617
26 Pd 0.655 0.000 0.000
27 Pd 0.655 0.000 0.345
28 Pd 0.655 0.345 0.000
29 Pd 0.851 0.383 0.383

Record 7
Structure and theoretical PXRD pattern of USiPd (a crystal structure in Alexandria, relaxed with GGA-PBE; copper Kα).
No peak broadening, texture or thermal motion is included.

Top 10 peaks for 2θ = 15–90°, low angle first:
2θ/deg  Rel. int.
23.7  42
35.0  100
41.7  44
52.2  8
55.6  27
58.1  8
68.9  21
71.9  26
76.2  8
87.4  8

Structural model:
Unit cell a=4.330 b=4.330 c=3.506 alpha=90.00 beta=90.00 gamma=120.00
Fractional coordinates of all 3 atoms:
1 U 0.000 0.000 0.000
2 Si 0.667 0.333 0.500
3 Pd 0.333 0.667 0.500

Record 8
Structure and theoretical PXRD pattern of U2Si7Pd12 (a crystal structure in Alexandria, relaxed with GGA-PBE; copper Kα).
No peak broadening, texture or thermal motion is included.

Top 10 peaks for 2θ = 15–90°, low angle first:
2θ/deg  Rel. int.
25.2  8
27.3  15
36.0  100
41.9  7
44.5  8
46.9  14
48.3  16
61.7  9
69.6  11
79.9  9

Structural model:
Unit cell a=9.963 b=9.963 c=3.876 alpha=90.00 beta=90.00 gamma=120.00
Fractional coordinates of all 21 atoms:
1 U 0.000 0.000 0.000
2 U 0.333 0.667 0.500
3 Si 0.075 0.452 0.000
4 Si 0.259 0.213 0.500
5 Si 0.378 0.925 0.000
6 Si 0.548 0.622 0.000
7 Si 0.667 0.333 0.500
8 Si 0.787 0.046 0.500
9 Si 0.954 0.741 0.500
10 Pd 0.044 0.270 0.500
11 Pd 0.105 0.719 0.000
12 Pd 0.227 0.956 0.500
13 Pd 0.281 0.385 0.000
14 Pd 0.441 0.201 0.000
15 Pd 0.510 0.450 0.500
16 Pd 0.550 0.060 0.500
17 Pd 0.615 0.895 0.000
18 Pd 0.730 0.773 0.500
19 Pd 0.761 0.559 0.000
20 Pd 0.799 0.239 0.000
21 Pd 0.940 0.490 0.500

What is the formula in the seventh record?
USiPd